(1)
This entry pairs a crystal structure of CdSb2Se3Br2 with its simulated powder XRD pattern. Radiation: CuKα. Structure: DFT lattice parameters and positions (PBE).
No peak broadening, texture or thermal motion is included.

Cell and atoms:
```
data_CdSb2Se3Br2
_space_group_name_H-M_alt 'C 1 2/m 1'
_space_group_IT_number 12
_space_group_name_Hall '-C 2y'
_cell_length_a 21.463
_cell_length_b 4.089
_cell_length_c 12.493
_cell_angle_alpha 90.00
_cell_angle_beta 119.79
_cell_angle_gamma 90.00
loop_
_atom_site_label
_atom_site_type_symbol
_atom_site_fract_x
_atom_site_fract_y
_atom_site_fract_z
Cd1 Cd 0.150 0.000 0.452
Sb1 Sb 0.048 0.500 0.784
Sb2 Sb 0.205 0.000 0.090
Se1 Se 0.037 0.000 0.216
Se2 Se 0.101 0.500 0.026
Se3 Se 0.179 0.000 0.861
Br1 Br 0.102 0.500 0.542
Br2 Br 0.211 0.500 0.352
```

Top 10 peaks for 2θ from 5° to 70°, low angle first:
- hkl 2 0 -2, 14.25°, d = 6.216 Å, I = 72
- hkl 3 1 -2, 26.78°, d = 3.328 Å, I = 32
- hkl 2 0 -4, 29.39°, d = 3.039 Å, I = 55
- hkl 3 1 1, 29.50°, d = 3.028 Å, I = 34
- hkl 5 1 -1, 30.42°, d = 2.939 Å, I = 74
- hkl 5 1 -2, 30.54°, d = 2.927 Å, I = 100
- hkl 4 0 2, 30.91°, d = 2.893 Å, I = 35
- hkl 5 1 0, 32.52°, d = 2.754 Å, I = 38
- hkl 5 1 -3, 32.86°, d = 2.725 Å, I = 56
- hkl 0 2 0, 44.30°, d = 2.045 Å, I = 65

---

(2)
This entry pairs a crystal structure of TaCd3Br6 with its simulated powder XRD pattern. Radiation: CuKα. Structure: DFT lattice parameters and positions (PBE).
No peak broadening, texture or thermal motion is included.

Cell and atoms:
```
data_TaCd3Br6
_space_group_name_H-M_alt 'P -3 1 m'
_space_group_IT_number 162
_space_group_name_Hall '-P 3 2'
_cell_length_a 6.2652
_cell_length_b 6.2652
_cell_length_c 8.6755
_cell_angle_alpha 90.00
_cell_angle_beta 90.00
_cell_angle_gamma 120.00
loop_
_atom_site_label
_atom_site_type_symbol
_atom_site_fract_x
_atom_site_fract_y
_atom_site_fract_z
Ta1 Ta 0.0000 0.0000 0.0000
Cd1 Cd 0.0000 0.0000 0.5000
Cd2 Cd 0.3333 0.6667 0.5000
Br1 Br 0.0000 0.3251 0.8283
```

Top 10 peaks for 2θ from 5° to 70°, low angle first:
- hkl 1 0 0, 16.34°, d = 5.426 Å, I = 22
- hkl 1 0 1, 19.29°, d = 4.600 Å, I = 28
- hkl 1 1 0, 28.49°, d = 3.133 Å, I = 12
- hkl 2 -1 1, 30.34°, d = 2.946 Å, I = 60
- hkl 0 0 3, 30.92°, d = 2.892 Å, I = 19
- hkl 1 1 2, 35.34°, d = 2.540 Å, I = 100
- hkl 3 0 0, 50.46°, d = 1.809 Å, I = 32
- hkl 2 -1 4, 51.23°, d = 1.783 Å, I = 32
- hkl 3 0 3, 60.36°, d = 1.533 Å, I = 15
- hkl 4 -2 2, 63.11°, d = 1.473 Å, I = 18

---

(3)
This entry pairs a crystal structure of Co2BrCl3 with its simulated powder XRD pattern. Radiation: CuKα. Structure: DFT lattice parameters and positions (PBE).
No peak broadening, texture or thermal motion is included.

Cell and atoms:
```
data_Co2BrCl3
_space_group_name_H-M_alt 'P 1 m 1'
_space_group_IT_number 6
_space_group_name_Hall 'P -2y'
_cell_length_a 6.155
_cell_length_b 3.529
_cell_length_c 6.366
_cell_angle_alpha 90.00
_cell_angle_beta 109.91
_cell_angle_gamma 90.00
loop_
_atom_site_label
_atom_site_type_symbol
_atom_site_fract_x
_atom_site_fract_y
_atom_site_fract_z
Co1 Co 0.000 0.000 0.000
Co2 Co 0.494 0.500 0.994
Br1 Br 0.751 0.000 0.248
Cl1 Cl 0.243 0.500 0.219
Cl2 Cl 0.253 0.000 0.775
Cl3 Cl 0.754 0.500 0.780
```

Top 10 peaks for 2θ from 5° to 70°, low angle first:
- hkl 0 0 1, 14.80°, d = 5.986 Å, I = 100
- hkl 2 0 -1, 29.36°, d = 3.042 Å, I = 15
- hkl 1 1 0, 29.65°, d = 3.013 Å, I = 27
- hkl 2 0 -2, 35.03°, d = 2.561 Å, I = 48
- hkl 1 1 1, 35.66°, d = 2.518 Å, I = 92
- hkl 1 1 -3, 50.16°, d = 1.819 Å, I = 30
- hkl 2 0 2, 50.81°, d = 1.797 Å, I = 15
- hkl 3 1 -1, 51.53°, d = 1.774 Å, I = 30
- hkl 0 2 0, 51.82°, d = 1.764 Å, I = 15
- hkl 2 2 -2, 64.09°, d = 1.453 Å, I = 14

---

(4)
This entry pairs a crystal structure of Co2Br3Cl with its simulated powder XRD pattern. Radiation: CuKα. Structure: DFT lattice parameters and positions (PBE).
No peak broadening, texture or thermal motion is included.

Cell and atoms:
```
data_Co2Br3Cl
_space_group_name_H-M_alt 'P m m 2'
_space_group_IT_number 25
_space_group_name_Hall 'P 2 -2'
_cell_length_a 3.809
_cell_length_b 3.854
_cell_length_c 11.885
_cell_angle_alpha 90.00
_cell_angle_beta 90.00
_cell_angle_gamma 90.00
loop_
_atom_site_label
_atom_site_type_symbol
_atom_site_fract_x
_atom_site_fract_y
_atom_site_fract_z
Co1 Co 0.000 0.000 0.000
Co2 Co 0.500 0.500 0.494
Br1 Br 0.000 0.500 0.372
Br2 Br 0.000 0.500 0.879
Br3 Br 0.500 0.000 0.614
Cl1 Cl 0.500 0.000 0.104
```

Top 10 peaks for 2θ from 5° to 70°, low angle first:
- hkl 0 0 2, 14.91°, d = 5.943 Å, I = 65
- hkl 1 0 1, 24.54°, d = 3.627 Å, I = 44
- hkl 0 1 2, 27.58°, d = 3.234 Å, I = 100
- hkl 1 0 2, 27.82°, d = 3.207 Å, I = 92
- hkl 1 1 0, 33.06°, d = 2.709 Å, I = 19
- hkl 1 1 4, 45.30°, d = 2.002 Å, I = 96
- hkl 0 2 0, 47.16°, d = 1.927 Å, I = 22
- hkl 2 0 0, 47.76°, d = 1.905 Å, I = 22
- hkl 1 2 2, 55.64°, d = 1.652 Å, I = 24
- hkl 2 1 2, 56.04°, d = 1.641 Å, I = 25

---

(5)
This entry pairs a crystal structure of CsCuBr2Cl with its simulated powder XRD pattern. Radiation: CuKα. Structure: DFT lattice parameters and positions (PBE).
No peak broadening, texture or thermal motion is included.

Cell and atoms:
```
data_CsCuBr2Cl
_space_group_name_H-M_alt 'I 4/m m m'
_space_group_IT_number 139
_space_group_name_Hall '-I 4 2'
_cell_length_a 7.481
_cell_length_b 7.481
_cell_length_c 11.047
_cell_angle_alpha 90.00
_cell_angle_beta 90.00
_cell_angle_gamma 90.00
loop_
_atom_site_label
_atom_site_type_symbol
_atom_site_fract_x
_atom_site_fract_y
_atom_site_fract_z
Cs1 Cs 0.000 0.500 0.250
Cu1 Cu 0.000 0.000 0.000
Cu2 Cu 0.000 0.000 0.500
Br1 Br 0.226 0.226 0.000
Cl1 Cl 0.000 0.000 0.304
```

Top 10 peaks for 2θ from 5° to 70°, low angle first:
- hkl 1 1 2, 23.28°, d = 3.820 Å, I = 85
- hkl 2 0 2, 28.83°, d = 3.097 Å, I = 100
- hkl 0 0 4, 32.42°, d = 2.762 Å, I = 42
- hkl 2 2 0, 33.89°, d = 2.645 Å, I = 79
- hkl 3 1 2, 41.52°, d = 2.175 Å, I = 31
- hkl 2 2 4, 47.60°, d = 1.910 Å, I = 51
- hkl 4 0 0, 48.68°, d = 1.870 Å, I = 25
- hkl 1 1 6, 52.64°, d = 1.739 Å, I = 14
- hkl 4 2 2, 57.57°, d = 1.601 Å, I = 21
- hkl 4 0 4, 59.71°, d = 1.549 Å, I = 23

---

(6)
This entry pairs a crystal structure of Cs2DyIBrCl2 with its simulated powder XRD pattern. Radiation: CuKα. Structure: DFT lattice parameters and positions (PBE).
No peak broadening, texture or thermal motion is included.

Cell and atoms:
```
data_Cs2DyIBrCl2
_space_group_name_H-M_alt 'I 4 m m'
_space_group_IT_number 107
_space_group_name_Hall 'I 4 -2'
_cell_length_a 5.407
_cell_length_b 5.407
_cell_length_c 18.785
_cell_angle_alpha 90.00
_cell_angle_beta 90.00
_cell_angle_gamma 90.00
loop_
_atom_site_label
_atom_site_type_symbol
_atom_site_fract_x
_atom_site_fract_y
_atom_site_fract_z
Cs1 Cs 0.000 0.000 0.000
Cs2 Cs 0.000 0.000 0.271
Dy1 Dy 0.000 0.000 0.630
I1 I 0.000 0.000 0.796
Br1 Br 0.000 0.000 0.476
Cl1 Cl 0.000 0.500 0.131
```

Top 10 peaks for 2θ from 5° to 70°, low angle first:
- hkl 1 0 3, 21.72°, d = 4.092 Å, I = 22
- hkl 1 1 0, 23.27°, d = 3.823 Å, I = 100
- hkl 0 0 6, 28.51°, d = 3.131 Å, I = 28
- hkl 1 0 5, 28.94°, d = 3.085 Å, I = 45
- hkl 1 1 4, 30.14°, d = 2.965 Å, I = 31
- hkl 2 0 0, 33.14°, d = 2.703 Å, I = 65
- hkl 1 1 6, 37.12°, d = 2.422 Å, I = 29
- hkl 2 0 6, 44.27°, d = 2.046 Å, I = 33
- hkl 2 1 5, 44.56°, d = 2.033 Å, I = 28
- hkl 2 2 0, 47.57°, d = 1.912 Å, I = 23

---

(7)
This entry pairs a crystal structure of Cs2GdIBrCl2 with its simulated powder XRD pattern. Radiation: CuKα. Structure: DFT lattice parameters and positions (PBE).
No peak broadening, texture or thermal motion is included.

Cell and atoms:
```
data_Cs2GdIBrCl2
_space_group_name_H-M_alt 'I 4 m m'
_space_group_IT_number 107
_space_group_name_Hall 'I 4 -2'
_cell_length_a 5.451
_cell_length_b 5.451
_cell_length_c 18.865
_cell_angle_alpha 90.00
_cell_angle_beta 90.00
_cell_angle_gamma 90.00
loop_
_atom_site_label
_atom_site_type_symbol
_atom_site_fract_x
_atom_site_fract_y
_atom_site_fract_z
Cs1 Cs 0.000 0.000 0.000
Cs2 Cs 0.000 0.000 0.272
Gd1 Gd 0.000 0.000 0.631
I1 I 0.000 0.000 0.798
Br1 Br 0.000 0.000 0.477
Cl1 Cl 0.000 0.500 0.132
```

Top 10 peaks for 2θ from 5° to 70°, low angle first:
- hkl 1 1 0, 23.07°, d = 3.854 Å, I = 100
- hkl 0 0 6, 28.39°, d = 3.144 Å, I = 28
- hkl 1 0 5, 28.78°, d = 3.102 Å, I = 44
- hkl 1 1 4, 29.94°, d = 2.985 Å, I = 31
- hkl 2 0 0, 32.86°, d = 2.726 Å, I = 65
- hkl 1 1 6, 36.89°, d = 2.436 Å, I = 30
- hkl 2 0 6, 43.97°, d = 2.059 Å, I = 33
- hkl 2 1 5, 44.23°, d = 2.048 Å, I = 27
- hkl 2 2 0, 47.16°, d = 1.927 Å, I = 23
- hkl 2 1 11, 66.67°, d = 1.403 Å, I = 25

---

(8)
This entry pairs a crystal structure of Cs2HoIBrCl2 with its simulated powder XRD pattern. Radiation: CuKα. Structure: DFT lattice parameters and positions (PBE).
No peak broadening, texture or thermal motion is included.

Cell and atoms:
```
data_Cs2HoIBrCl2
_space_group_name_H-M_alt 'I 4 m m'
_space_group_IT_number 107
_space_group_name_Hall 'I 4 -2'
_cell_length_a 5.382
_cell_length_b 5.382
_cell_length_c 18.821
_cell_angle_alpha 90.00
_cell_angle_beta 90.00
_cell_angle_gamma 90.00
loop_
_atom_site_label
_atom_site_type_symbol
_atom_site_fract_x
_atom_site_fract_y
_atom_site_fract_z
Cs1 Cs 0.000 0.000 0.000
Cs2 Cs 0.000 0.000 0.272
Ho1 Ho 0.000 0.000 0.631
I1 I 0.000 0.000 0.797
Br1 Br 0.000 0.000 0.478
Cl1 Cl 0.000 0.500 0.133
```

Top 10 peaks for 2θ from 5° to 70°, low angle first:
- hkl 1 0 3, 21.76°, d = 4.085 Å, I = 23
- hkl 1 1 0, 23.37°, d = 3.806 Å, I = 100
- hkl 0 0 6, 28.45°, d = 3.137 Å, I = 29
- hkl 1 0 5, 28.95°, d = 3.085 Å, I = 44
- hkl 1 1 4, 30.20°, d = 2.959 Å, I = 30
- hkl 2 0 0, 33.29°, d = 2.691 Å, I = 64
- hkl 1 1 6, 37.14°, d = 2.421 Å, I = 31
- hkl 2 0 6, 44.35°, d = 2.042 Å, I = 34
- hkl 2 1 5, 44.69°, d = 2.028 Å, I = 26
- hkl 2 2 0, 47.80°, d = 1.903 Å, I = 23

---

(9)
This entry pairs a crystal structure of Cs2SmIBrCl2 with its simulated powder XRD pattern. Radiation: CuKα. Structure: DFT lattice parameters and positions (PBE).
No peak broadening, texture or thermal motion is included.

Cell and atoms:
```
data_Cs2SmIBrCl2
_space_group_name_H-M_alt 'I 4 m m'
_space_group_IT_number 107
_space_group_name_Hall 'I 4 -2'
_cell_length_a 5.517
_cell_length_b 5.517
_cell_length_c 18.870
_cell_angle_alpha 90.00
_cell_angle_beta 90.00
_cell_angle_gamma 90.00
loop_
_atom_site_label
_atom_site_type_symbol
_atom_site_fract_x
_atom_site_fract_y
_atom_site_fract_z
Cs1 Cs 0.000 0.000 0.000
Cs2 Cs 0.000 0.000 0.271
Sm1 Sm 0.000 0.000 0.629
I1 I 0.000 0.000 0.798
Br1 Br 0.000 0.000 0.473
Cl1 Cl 0.000 0.500 0.130
```

Top 10 peaks for 2θ from 5° to 70°, low angle first:
- hkl 1 1 0, 22.80°, d = 3.901 Å, I = 100
- hkl 0 0 6, 28.38°, d = 3.145 Å, I = 27
- hkl 1 0 5, 28.66°, d = 3.115 Å, I = 47
- hkl 1 1 4, 29.72°, d = 3.006 Å, I = 32
- hkl 2 0 0, 32.46°, d = 2.758 Å, I = 66
- hkl 1 1 6, 36.71°, d = 2.448 Å, I = 32
- hkl 2 0 6, 43.65°, d = 2.074 Å, I = 33
- hkl 2 1 5, 43.84°, d = 2.065 Å, I = 29
- hkl 2 2 0, 46.56°, d = 1.950 Å, I = 23
- hkl 1 0 11, 56.18°, d = 1.637 Å, I = 22

---

(10)
This entry pairs a crystal structure of Cs2TmIBrCl2 with its simulated powder XRD pattern. Radiation: CuKα. Structure: DFT lattice parameters and positions (PBE).
No peak broadening, texture or thermal motion is included.

Cell and atoms:
```
data_Cs2TmIBrCl2
_space_group_name_H-M_alt 'I 4 m m'
_space_group_IT_number 107
_space_group_name_Hall 'I 4 -2'
_cell_length_a 5.358
_cell_length_b 5.358
_cell_length_c 18.751
_cell_angle_alpha 90.00
_cell_angle_beta 90.00
_cell_angle_gamma 90.00
loop_
_atom_site_label
_atom_site_type_symbol
_atom_site_fract_x
_atom_site_fract_y
_atom_site_fract_z
Cs1 Cs 0.000 0.000 0.000
Cs2 Cs 0.000 0.000 0.272
Tm1 Tm 0.000 0.000 0.631
I1 I 0.000 0.000 0.797
Br1 Br 0.000 0.000 0.479
Cl1 Cl 0.000 0.500 0.133
```

Top 10 peaks for 2θ from 5° to 70°, low angle first:
- hkl 1 0 3, 21.85°, d = 4.068 Å, I = 24
- hkl 1 1 0, 23.48°, d = 3.789 Å, I = 100
- hkl 0 0 6, 28.56°, d = 3.125 Å, I = 29
- hkl 1 0 5, 29.06°, d = 3.072 Å, I = 43
- hkl 1 1 4, 30.33°, d = 2.947 Å, I = 29
- hkl 2 0 0, 33.45°, d = 2.679 Å, I = 64
- hkl 1 1 6, 37.30°, d = 2.411 Å, I = 31
- hkl 2 0 6, 44.55°, d = 2.034 Å, I = 33
- hkl 2 1 5, 44.89°, d = 2.019 Å, I = 26
- hkl 2 2 0, 48.03°, d = 1.894 Å, I = 23

---

(11)
This entry pairs a crystal structure of Cs2PdBrCl3 with its simulated powder XRD pattern. Radiation: CuKα. Structure: DFT lattice parameters and positions (PBE).
No peak broadening, texture or thermal motion is included.

Cell and atoms:
```
data_Cs2PdBrCl3
_space_group_name_H-M_alt 'A m m 2'
_space_group_IT_number 38
_space_group_name_Hall 'A 2 -2'
_cell_length_a 4.772
_cell_length_b 10.879
_cell_length_c 10.393
_cell_angle_alpha 90.00
_cell_angle_beta 90.00
_cell_angle_gamma 90.00
loop_
_atom_site_label
_atom_site_type_symbol
_atom_site_fract_x
_atom_site_fract_y
_atom_site_fract_z
Cs1 Cs 0.000 0.240 0.000
Pd1 Pd 0.500 0.000 0.748
Br1 Br 0.500 0.000 0.511
Cl1 Cl 0.500 0.000 0.974
Cl2 Cl 0.500 0.215 0.748
```

Top 10 peaks for 2θ from 5° to 70°, low angle first:
- hkl 0 1 1, 11.78°, d = 7.515 Å, I = 64
- hkl 1 1 1, 22.06°, d = 4.029 Å, I = 35
- hkl 1 2 0, 24.82°, d = 3.587 Å, I = 100
- hkl 1 0 2, 25.34°, d = 3.515 Å, I = 58
- hkl 1 2 2, 30.27°, d = 2.952 Å, I = 75
- hkl 0 4 0, 32.94°, d = 2.719 Å, I = 44
- hkl 0 0 4, 34.52°, d = 2.598 Å, I = 36
- hkl 2 0 0, 37.70°, d = 2.386 Å, I = 29
- hkl 1 2 4, 42.98°, d = 2.104 Å, I = 43
- hkl 0 4 4, 48.46°, d = 1.878 Å, I = 30

---

(12)
This entry pairs a crystal structure of Cs2PtBr2Cl2 with its simulated powder XRD pattern. Radiation: CuKα. Structure: DFT lattice parameters and positions (PBE).
No peak broadening, texture or thermal motion is included.

Cell and atoms:
```
data_Cs2PtBr2Cl2
_space_group_name_H-M_alt 'P m m 2'
_space_group_IT_number 25
_space_group_name_Hall 'P 2 -2'
_cell_length_a 4.810
_cell_length_b 7.677
_cell_length_c 7.680
_cell_angle_alpha 90.00
_cell_angle_beta 90.00
_cell_angle_gamma 90.00
loop_
_atom_site_label
_atom_site_type_symbol
_atom_site_fract_x
_atom_site_fract_y
_atom_site_fract_z
Cs1 Cs 0.000 0.000 0.000
Cs2 Cs 0.000 0.500 0.459
Pt1 Pt 0.500 0.500 0.977
Br1 Br 0.500 0.273 0.751
Cl1 Cl 0.500 0.285 0.193
```

Top 10 peaks for 2θ from 5° to 70°, low angle first:
- hkl 0 0 1, 11.52°, d = 7.678 Å, I = 75
- hkl 1 0 1, 21.80°, d = 4.077 Å, I = 40
- hkl 1 1 1, 24.73°, d = 3.601 Å, I = 100
- hkl 1 2 0, 29.77°, d = 3.001 Å, I = 25
- hkl 0 2 2, 33.00°, d = 2.715 Å, I = 49
- hkl 2 0 0, 37.39°, d = 2.405 Å, I = 19
- hkl 1 3 1, 41.67°, d = 2.168 Å, I = 43
- hkl 1 2 3, 46.64°, d = 1.947 Å, I = 19
- hkl 0 4 0, 47.36°, d = 1.920 Å, I = 16
- hkl 2 2 2, 50.71°, d = 1.800 Å, I = 28